Record 1
Diffraction record for TlCo2Pd. The X-ray powder pattern is simulated, not measured: it uses a GGA-PBE-relaxed structure and Cu Kα, 1.54184 Å.
No peak broadening, texture or thermal motion is included.

Cell and atoms:
```
TlCo2Pd
1.0
0.000 3.095 3.095
3.095 0.000 3.095
3.095 3.095 0.000
Tl Co Pd
1 2 1
Cartesian
0.000 0.000 0.000
1.548 1.548 1.548
4.643 4.643 4.643
3.095 3.095 3.095
```

Top 11 peaks for 2θ from 15° to 90°, in order of rising 2θ:
24.91°, I 11
28.85°, I 23
41.25°, I 100
48.79°, I 6
51.11°, I 7
59.75°, I 16
65.75°, I 2
67.69°, I 9
75.19°, I 33
80.65°, I 2
89.58°, I 11

Record 2
Diffraction record for Tm5CoPd2. The X-ray powder pattern is simulated, not measured: it uses a GGA-PBE-relaxed structure and Cu Kα, 1.54184 Å.
No peak broadening, texture or thermal motion is included.

Cell and atoms:
```
Tm5CoPd2
1.0
7.814 0.000 0.000
0.000 11.589 0.000
0.000 0.000 4.093
Tm Co Pd
10 2 4
Cartesian
0.000 0.000 0.000
1.215 3.496 0.000
1.379 6.744 2.046
2.528 0.949 2.046
2.692 9.290 0.000
3.907 5.794 0.000
5.121 2.299 0.000
5.285 10.640 2.046
6.435 4.845 2.046
6.599 8.093 0.000
0.000 5.794 0.000
3.907 0.000 0.000
0.421 9.596 2.046
3.486 3.801 2.046
4.328 7.788 2.046
7.392 1.993 2.046
```

Top 12 peaks for 2θ from 15° to 90°, in order of rising 2θ:
29.05°, I 46
32.61°, I 100
32.97°, I 45
33.91°, I 51
35.33°, I 89
38.05°, I 26
44.26°, I 34
52.88°, I 13
54.40°, I 15
56.28°, I 20
57.83°, I 38
74.77°, I 11

Record 3
Diffraction record for V2Co9Pd. The X-ray powder pattern is simulated, not measured: it uses a GGA-PBE-relaxed structure and Cu Kα, 1.54184 Å.
No peak broadening, texture or thermal motion is included.

Cell and atoms:
```
V2Co9Pd
1.0
3.579 0.000 0.000
0.000 3.579 0.000
0.000 0.000 10.729
V Co Pd
2 9 1
Cartesian
0.000 0.000 1.733
0.000 0.000 8.997
0.000 1.790 0.000
0.000 1.790 3.504
0.000 1.790 7.226
1.790 0.000 0.000
1.790 0.000 3.504
1.790 0.000 7.226
1.790 1.790 1.744
1.790 1.790 5.365
1.790 1.790 8.985
0.000 0.000 5.365
```

Top 12 peaks for 2θ from 15° to 90°, in order of rising 2θ:
16.52°, I 1
26.25°, I 2
30.01°, I 2
36.47°, I 1
39.36°, I 2
42.10°, I 2
43.82°, I 100
51.05°, I 46
68.23°, I 1
75.08°, I 26
81.15°, I 1
88.24°, I 1

Record 4
Diffraction record for Y3CoPd. The X-ray powder pattern is simulated, not measured: it uses a GGA-PBE-relaxed structure and Cu Kα, 1.54184 Å.
No peak broadening, texture or thermal motion is included.

Cell and atoms:
```
Y3CoPd
1.0
7.697 0.000 0.000
0.000 3.897 0.000
-2.573 0.000 7.883
Y Co Pd
6 2 2
Cartesian
-0.010 0.974 1.868
-0.029 0.974 7.326
1.133 2.923 4.681
3.991 0.974 3.202
5.153 2.923 0.557
5.134 2.923 6.015
-1.040 0.974 4.545
6.164 2.923 3.338
2.242 2.923 1.607
2.882 0.974 6.276
```

Top 12 peaks for 2θ from 15° to 90°, in order of rising 2θ:
29.82°, I 85
32.31°, I 36
32.43°, I 58
32.93°, I 54
33.60°, I 92
36.14°, I 100
36.85°, I 66
37.11°, I 63
39.89°, I 37
40.03°, I 60
46.62°, I 57
60.85°, I 29

Record 5
Diffraction record for ZrCoPd. The X-ray powder pattern is simulated, not measured: it uses a GGA-PBE-relaxed structure and Cu Kα, 1.54184 Å.
No peak broadening, texture or thermal motion is included.

Cell and atoms:
```
ZrCoPd
1.0
-1.654 1.654 4.435
1.654 -1.654 4.435
1.654 1.654 -4.435
Zr Co Pd
1 1 1
Cartesian
0.000 0.000 0.000
0.000 0.000 3.100
0.000 0.000 6.013
```

Top 12 peaks for 2θ from 15° to 90°, in order of rising 2θ:
28.80°, I 9
38.48°, I 61
40.69°, I 2
40.94°, I 100
55.55°, I 20
57.24°, I 3
62.87°, I 6
63.77°, I 2
71.27°, I 36
76.18°, I 14
82.46°, I 6
88.76°, I 10

Record 6
Diffraction record for Pm2Co17. The X-ray powder pattern is simulated, not measured: it uses a GGA-PBE-relaxed structure and Cu Kα, 1.54184 Å.
No peak broadening, texture or thermal motion is included.

Cell and atoms:
```
Pm2Co17
1.0
4.180 2.414 4.053
-4.180 2.414 4.053
0.000 -4.827 4.053
Pm Co
2 17
Cartesian
0.000 0.000 1.890
0.000 0.000 10.267
-2.090 -1.207 4.053
0.000 -2.378 3.898
-2.059 1.189 3.898
-1.194 -2.069 6.079
-2.389 0.000 6.079
-2.059 -1.189 8.259
0.000 0.000 4.912
-2.090 1.207 8.105
1.194 -2.069 6.079
0.000 2.414 4.053
-1.194 2.069 6.079
0.000 0.000 7.246
2.059 1.189 3.898
2.389 0.000 6.079
1.194 2.069 6.079
2.059 -1.189 8.259
0.000 2.378 8.259
```

Top 12 peaks for 2θ from 15° to 90°, in order of rising 2θ:
30.73°, I 38
37.25°, I 40
38.68°, I 34
43.29°, I 68
43.65°, I 100
44.55°, I 19
44.72°, I 33
49.04°, I 24
63.16°, I 18
64.00°, I 16
79.41°, I 16
81.69°, I 16

Record 7
Diffraction record for Pm2Co3. The X-ray powder pattern is simulated, not measured: it uses a GGA-PBE-relaxed structure and Cu Kα, 1.54184 Å.
No peak broadening, texture or thermal motion is included.

Cell and atoms:
```
Pm2Co3
1.0
-2.112 2.433 4.537
2.112 -2.433 4.537
2.112 2.433 -4.537
Pm Co
2 3
Cartesian
0.000 0.000 1.724
0.000 0.000 7.351
2.112 1.190 0.000
0.000 2.433 0.000
0.000 1.242 4.537
```

Top 12 peaks for 2θ from 15° to 90°, in order of rising 2θ:
27.98°, I 56
34.37°, I 100
34.93°, I 64
36.54°, I 58
36.95°, I 14
42.15°, I 27
42.82°, I 39
44.11°, I 54
56.40°, I 32
61.26°, I 15
61.65°, I 17
68.19°, I 36

Record 8
Diffraction record for Pm2Pr2Co. The X-ray powder pattern is simulated, not measured: it uses a GGA-PBE-relaxed structure and Cu Kα, 1.54184 Å.
No peak broadening, texture or thermal motion is included.

Cell and atoms:
```
Pm2Pr2Co
1.0
3.775 -5.966 0.000
3.775 5.966 0.000
-2.850 0.000 6.810
Pm Pr Co
4 4 2
Cartesian
1.290 3.232 5.047
3.409 3.232 1.762
1.290 -3.232 5.047
3.409 -3.232 1.762
0.163 0.000 4.040
1.803 0.000 0.651
2.897 0.000 6.159
4.537 0.000 2.770
2.350 1.452 3.405
2.350 -1.452 3.405
```

Top 12 peaks for 2θ from 15° to 90°, in order of rising 2θ:
25.40°, I 17
28.74°, I 23
29.71°, I 100
29.95°, I 43
30.22°, I 57
33.22°, I 48
34.32°, I 32
38.31°, I 18
41.99°, I 27
51.24°, I 24
53.03°, I 16
56.19°, I 16

Record 9
Diffraction record for Pm4PrCo. The X-ray powder pattern is simulated, not measured: it uses a GGA-PBE-relaxed structure and Cu Kα, 1.54184 Å.
No peak broadening, texture or thermal motion is included.

Cell and atoms:
```
Pm4PrCo
1.0
3.694 0.000 0.000
1.836 6.059 0.000
0.028 2.740 8.078
Pm Pr Co
4 1 1
Cartesian
0.929 2.613 3.097
0.958 3.099 6.494
4.600 5.700 1.585
4.629 6.186 4.982
2.765 3.030 0.000
2.779 4.400 4.039
```

Top 12 peaks for 2θ from 15° to 90°, in order of rising 2θ:
26.63°, I 45
29.50°, I 57
30.90°, I 100
31.88°, I 76
32.01°, I 64
32.11°, I 62
33.68°, I 61
33.78°, I 61
49.34°, I 28
49.69°, I 38
59.25°, I 26
59.98°, I 27

Record 10
Diffraction record for Pm7PrCo2. The X-ray powder pattern is simulated, not measured: it uses a GGA-PBE-relaxed structure and Cu Kα, 1.54184 Å.
No peak broadening, texture or thermal motion is included.

Cell and atoms:
```
Pm7PrCo2
1.0
4.367 -7.245 0.000
4.367 7.245 0.000
0.000 0.000 5.187
Pm Pr Co
7 1 2
Cartesian
0.000 0.000 0.000
2.691 1.985 0.000
4.367 4.268 2.594
2.691 -1.985 0.000
6.043 1.985 0.000
4.367 -4.268 2.594
6.043 -1.985 0.000
4.367 0.000 2.594
4.367 4.383 0.000
4.367 -4.383 0.000
```

Top 12 peaks for 2θ from 15° to 90°, in order of rising 2θ:
17.09°, I 41
26.68°, I 56
27.22°, I 100
30.09°, I 49
32.10°, I 73
34.58°, I 67
35.91°, I 50
36.02°, I 41
47.90°, I 48
50.79°, I 31
57.44°, I 35
58.98°, I 27

Record 11
Diffraction record for PmPr3Co. The X-ray powder pattern is simulated, not measured: it uses a GGA-PBE-relaxed structure and Cu Kα, 1.54184 Å.
No peak broadening, texture or thermal motion is included.

Cell and atoms:
```
PmPr3Co
1.0
7.728 0.000 0.000
0.000 6.557 0.000
0.000 0.000 6.361
Pm Pr Co
2 6 2
Cartesian
0.000 1.042 0.000
3.864 5.515 3.181
0.000 5.541 3.167
1.927 4.416 6.358
1.937 2.141 3.178
3.864 1.016 6.347
5.791 2.141 3.178
5.801 4.416 6.358
0.000 3.264 4.769
3.864 3.294 1.589
```

Top 12 peaks for 2θ from 15° to 90°, in order of rising 2θ:
26.78°, I 15
28.05°, I 33
30.30°, I 100
30.68°, I 50
39.17°, I 26
47.04°, I 13
47.81°, I 23
51.07°, I 23
51.31°, I 12
56.35°, I 18
57.21°, I 17
78.41°, I 17

Record 12
Diffraction record for PmPrCo2. The X-ray powder pattern is simulated, not measured: it uses a GGA-PBE-relaxed structure and Cu Kα, 1.54184 Å.
No peak broadening, texture or thermal motion is included.

Cell and atoms:
```
PmPrCo2
1.0
3.972 0.000 0.000
0.000 5.665 0.000
0.000 0.000 7.917
Pm Pr Co
2 2 4
Cartesian
0.000 0.807 0.000
0.000 4.858 3.958
1.986 2.023 5.109
1.986 3.642 1.151
0.000 1.855 2.757
0.000 3.810 6.715
1.986 0.897 2.323
1.986 4.768 6.282
```

Top 12 peaks for 2θ from 15° to 90°, in order of rising 2θ:
27.46°, I 51
29.70°, I 100
31.92°, I 90
33.60°, I 79
35.73°, I 52
37.60°, I 78
40.75°, I 66
45.68°, I 38
52.71°, I 20
57.89°, I 33
58.97°, I 31
60.60°, I 37

Record 13
Diffraction record for Pm5Pr3Co2. The X-ray powder pattern is simulated, not measured: it uses a GGA-PBE-relaxed structure and Cu Kα, 1.54184 Å.
No peak broadening, texture or thermal motion is included.

Cell and atoms:
```
Pm5Pr3Co2
1.0
-5.237 7.552 3.967
5.237 -7.552 3.967
5.237 7.552 -3.967
Pm Pr Co
10 6 4
Cartesian
5.237 3.809 -1.983
2.532 1.761 0.000
0.000 0.000 1.983
2.532 -1.761 3.967
0.000 3.743 1.983
5.237 3.809 1.983
2.705 9.313 0.000
0.000 0.000 5.950
2.705 5.792 3.967
0.000 3.743 5.950
7.977 2.027 0.000
5.237 0.000 1.983
2.740 5.525 0.000
2.496 2.027 3.967
0.000 7.552 1.983
-2.740 5.525 3.967
5.229 2.003 0.000
5.229 -2.003 3.967
0.008 9.555 0.000
0.008 5.549 3.967
```

Top 12 peaks for 2θ from 15° to 90°, in order of rising 2θ:
28.22°, I 97
29.16°, I 87
32.74°, I 100
34.25°, I 44
45.75°, I 21
48.12°, I 81
55.17°, I 30
56.79°, I 25
58.37°, I 19
60.45°, I 15
78.99°, I 14
81.51°, I 13